Simulated powder diffractogram
Compound: CdCuNi2F8
Radiation: a wavelength of 1.5418 Å
Structure: a structure optimized by DFT (GGA+U)
Lines closer than 0.1° are merged.

Main lines, low angle first (10° ≤ 2θ ≤ 80°):
hkl 1 0 -1, 2θ 25.37, I = 91; hkl 1 0 1, 2θ 26.20, I = 78; hkl 1 2 0, 2θ 33.44, I = 100; hkl 1 2 -2, 2θ 49.99, I = 32; hkl 2 2 -1, 2θ 50.20, I = 31; hkl 1 2 2, 2θ 50.93, I = 24; hkl 2 2 1, 2θ 51.13, I = 25; hkl 0 2 3, 2θ 63.88, I = 30

Cell and atoms:
a = 4.865 Å, b = 6.410 Å, c = 4.910 Å
α = 90.00°, β = 91.81°, γ = 90.00°
Fractional coordinates of all 12 atoms:
Cd: 0.000 0.000 0.000
Cu: 0.000 0.500 0.000
Ni: 0.500 0.260 0.500
Ni: 0.500 0.740 0.500
F: 0.206 0.274 0.196
F: 0.206 0.726 0.196
F: 0.308 0.500 0.682
F: 0.318 0.000 0.673
F: 0.682 0.000 0.327
F: 0.692 0.500 0.318
F: 0.794 0.274 0.804
F: 0.794 0.726 0.804